Diffraction record for Hf4ZrSc5. The powder XRD pattern is theoretical, not measured: it uses the GGA-PBE geometry in Alexandria and copper Kα.
Neutral-atom scattering factors, no anomalous dispersion.

Cell and atoms:
```
data_Hf4ZrSc5
_chemical_formula_sum 'Hf8 Zr2 Sc10'
_cell_length_a 6.098
_cell_length_b 6.247
_cell_length_c 12.907
_cell_angle_alpha 82.31
_cell_angle_beta 81.71
_cell_angle_gamma 74.51
_space_group_name_H-M_alt 'P -1'
_space_group_IT_number 2
loop_
_space_group_symop_operation_xyz
'x,y,z'
'-x,-y,-z'
loop_
_atom_site_label
_atom_site_type_symbol
_atom_site_fract_x
_atom_site_fract_y
_atom_site_fract_z
Hf1 Hf 0.050 0.224 0.010
Hf2 Hf 0.396 0.553 0.400
Hf3 Hf 0.407 0.056 0.400
Hf4 Hf 0.440 0.759 0.022
Zr1 Zr 0.134 0.324 0.591
Sc1 Sc 0.127 0.817 0.592
Sc2 Sc 0.185 0.907 0.226
Sc3 Sc 0.227 0.412 0.197
Sc4 Sc 0.291 0.492 0.804
Sc5 Sc 0.317 0.988 0.814
```

Main lines, by intensity (2θ = 10–90°):
| hkl | 2theta | I/Imax |
| --- | --- | --- |
| 0 0 5 | 35.29 | 100 |
| 0 0 2 | 13.94 | 46 |
| 0 2 -2 | 34.36 | 22 |
| 0 2 3 | 34.92 | 21 |
| 2 2 1 | 36.60 | 19 |
| 0 2 1 | 29.96 | 19 |
| 0 0 3 | 20.98 | 15 |
| 1 0 -1 | 17.42 | 11 |
| 1 0 0 | 15.18 | 11 |
| 2 2 -1 | 39.12 | 11 |

***

Diffraction record for HfZr12Sc2. The powder XRD pattern is theoretical, not measured: it uses the GGA-PBE geometry in Alexandria and copper Kα.
Neutral-atom scattering factors, no anomalous dispersion.

Cell and atoms:
```
data_HfZr12Sc2
_chemical_formula_sum 'Hf1 Zr12 Sc2'
_cell_length_a 3.158
_cell_length_b 5.196
_cell_length_c 21.863
_cell_angle_alpha 90.00
_cell_angle_beta 90.00
_cell_angle_gamma 90.00
_space_group_name_H-M_alt 'P m m m'
_space_group_IT_number 47
loop_
_space_group_symop_operation_xyz
'x,y,z'
'-x,-y,-z'
'-x,-y,z'
'x,y,-z'
'x,-y,-z'
'-x,y,z'
'-x,y,-z'
'x,-y,z'
loop_
_atom_site_label
_atom_site_type_symbol
_atom_site_fract_x
_atom_site_fract_y
_atom_site_fract_z
Hf1 Hf 0.000 0.000 0.000
Zr1 Zr 0.000 0.500 0.075
Zr2 Zr 0.000 0.500 0.436
Zr3 Zr 0.500 0.000 0.128
Zr4 Zr 0.500 0.000 0.421
Zr5 Zr 0.500 0.500 0.197
Zr6 Zr 0.500 0.500 0.325
Sc1 Sc 0.000 0.000 0.270
```

Main lines, by intensity (2θ = 10–90°):
| hkl | 2theta | I/Imax |
| --- | --- | --- |
| 0 1 8 | 37.16 | 100 |
| 0 2 0 | 34.52 | 77 |
| 1 1 6 | 41.64 | 67 |
| 0 1 7 | 33.47 | 54 |
| 1 1 2 | 34.22 | 42 |
| 1 0 2 | 29.44 | 30 |
| 1 1 3 | 35.47 | 29 |
| 1 0 4 | 32.75 | 27 |
| 2 2 0 | 69.68 | 21 |
| 0 3 8 | 63.59 | 20 |

***

Diffraction record for HfZr4Sc9. The powder XRD pattern is theoretical, not measured: it uses the GGA-PBE geometry in Alexandria and copper Kα.
Neutral-atom scattering factors, no anomalous dispersion.

Cell and atoms:
```
data_HfZr4Sc9
_chemical_formula_sum 'Hf2 Zr8 Sc18'
_cell_length_a 8.8761
_cell_length_b 8.8761
_cell_length_c 10.0138
_cell_angle_alpha 90.00
_cell_angle_beta 90.00
_cell_angle_gamma 120.00
_space_group_name_H-M_alt 'P 63/m m c'
_space_group_IT_number 194
_space_group_name_Hall '-P 6c 2c'
loop_
_atom_site_label
_atom_site_type_symbol
_atom_site_fract_x
_atom_site_fract_y
_atom_site_fract_z
Hf1 Hf 0.3333 0.6667 0.2500
Zr1 Zr 0.0000 0.0000 0.0000
Zr2 Zr 0.1139 0.2278 0.7500
Sc1 Sc 0.0792 0.5396 0.7500
Sc2 Sc 0.2052 0.4103 0.0343
```

Main lines, by intensity (2θ = 10–90°):
| hkl | 2theta | I/Imax |
| --- | --- | --- |
| 2 1 2 | 35.73 | 100 |
| 2 0 1 | 24.81 | 45 |
| 2 0 3 | 35.62 | 41 |
| 3 0 1 | 36.19 | 35 |
| 0 0 4 | 35.87 | 29 |
| 1 0 1 | 14.53 | 22 |
| 3 1 3 | 50.84 | 21 |
| 3 1 1 | 43.39 | 20 |
| 1 1 0 | 20.01 | 19 |
| 2 2 0 | 40.66 | 17 |

***

Diffraction record for HfZr4Sc7. The powder XRD pattern is theoretical, not measured: it uses the GGA-PBE geometry in Alexandria and copper Kα.
Neutral-atom scattering factors, no anomalous dispersion.

Cell and atoms:
```
data_HfZr4Sc7
_chemical_formula_sum 'Hf1 Zr4 Sc7'
_cell_length_a 5.436
_cell_length_b 6.137
_cell_length_c 8.902
_cell_angle_alpha 73.86
_cell_angle_beta 87.28
_cell_angle_gamma 89.82
_space_group_name_H-M_alt 'P -1'
_space_group_IT_number 2
loop_
_space_group_symop_operation_xyz
'x,y,z'
'-x,-y,-z'
loop_
_atom_site_label
_atom_site_type_symbol
_atom_site_fract_x
_atom_site_fract_y
_atom_site_fract_z
Hf1 Hf 0.000 0.000 0.000
Zr1 Zr 0.093 0.156 0.336
Zr2 Zr 0.411 0.903 0.808
Sc1 Sc 0.000 0.500 0.000
Sc2 Sc 0.052 0.332 0.667
Sc3 Sc 0.431 0.749 0.507
Sc4 Sc 0.467 0.622 0.154
```

Main lines, by intensity (2θ = 10–90°):
| hkl | 2theta | I/Imax |
| --- | --- | --- |
| 0 2 -1 | 34.86 | 100 |
| -1 2 2 | 36.24 | 65 |
| 1 0 -3 | 36.34 | 48 |
| 0 1 0 | 15.03 | 46 |
| 1 2 2 | 35.55 | 41 |
| 2 0 0 | 33.00 | 32 |
| 1 1 2 | 27.03 | 26 |
| -1 4 1 | 63.36 | 16 |
| 0 1 -1 | 20.55 | 16 |
| 0 2 5 | 54.05 | 16 |

***

Diffraction record for Hf3Zr12Sc. The powder XRD pattern is theoretical, not measured: it uses the GGA-PBE geometry in Alexandria and copper Kα.
Neutral-atom scattering factors, no anomalous dispersion.

Cell and atoms:
```
data_Hf3Zr12Sc
_chemical_formula_sum 'Hf3 Zr12 Sc1'
_cell_length_a 5.606
_cell_length_b 5.611
_cell_length_c 11.645
_cell_angle_alpha 90.00
_cell_angle_beta 90.00
_cell_angle_gamma 90.00
_space_group_name_H-M_alt 'P m m m'
_space_group_IT_number 47
loop_
_space_group_symop_operation_xyz
'x,y,z'
'-x,-y,-z'
'-x,-y,z'
'x,y,-z'
'x,-y,-z'
'-x,y,z'
'-x,y,-z'
'x,-y,z'
loop_
_atom_site_label
_atom_site_type_symbol
_atom_site_fract_x
_atom_site_fract_y
_atom_site_fract_z
Hf1 Hf 0.000 0.000 0.000
Hf2 Hf 0.500 0.500 0.253
Zr1 Zr 0.000 0.247 0.246
Zr2 Zr 0.254 0.500 0.000
Zr3 Zr 0.255 0.500 0.500
Zr4 Zr 0.500 0.000 0.124
Zr5 Zr 0.500 0.000 0.374
Sc1 Sc 0.000 0.000 0.500
```

Main lines, by intensity (2θ = 10–90°):
| hkl | 2theta | I/Imax |
| --- | --- | --- |
| 2 1 2 | 39.10 | 100 |
| 1 1 4 | 38.36 | 56 |
| 2 0 0 | 31.91 | 45 |
| 0 1 4 | 34.72 | 44 |
| 1 2 0 | 35.80 | 43 |
| 2 0 2 | 35.54 | 43 |
| 2 1 6 | 60.30 | 28 |
| 3 2 2 | 61.72 | 28 |
| 1 3 4 | 61.19 | 26 |
| 0 0 4 | 30.71 | 25 |

***

Diffraction record for HfZr6Sc. The powder XRD pattern is theoretical, not measured: it uses the GGA-PBE geometry in Alexandria and copper Kα.
Neutral-atom scattering factors, no anomalous dispersion.

Cell and atoms:
```
data_HfZr6Sc
_chemical_formula_sum 'Hf1 Zr6 Sc1'
_cell_length_a 6.4694
_cell_length_b 6.4694
_cell_length_c 5.1376
_cell_angle_alpha 90.00
_cell_angle_beta 90.00
_cell_angle_gamma 120.00
_space_group_name_H-M_alt 'P -6 m 2'
_space_group_IT_number 187
_space_group_name_Hall 'P -6 2'
loop_
_atom_site_label
_atom_site_type_symbol
_atom_site_fract_x
_atom_site_fract_y
_atom_site_fract_z
Hf1 Hf 0.0000 0.0000 0.0000
Zr1 Zr 0.3305 0.1653 0.5000
Zr2 Zr 0.5010 0.0020 0.0000
Sc1 Sc 0.3333 0.6667 0.5000
```

Main lines, by intensity (2θ = 10–90°):
| hkl | 2theta | I/Imax |
| --- | --- | --- |
| 2 0 1 | 36.53 | 100 |
| 2 0 0 | 31.95 | 26 |
| 0 0 2 | 34.93 | 25 |
| 2 2 2 | 68.56 | 20 |
| 2 0 3 | 63.69 | 19 |
| 2 2 0 | 56.93 | 18 |
| 2 0 2 | 48.06 | 16 |
| 4 0 1 | 69.57 | 14 |
| 1 0 0 | 15.82 | 11 |
| 1 1 1 | 32.72 | 5 |

***

Diffraction record for Hf3Zr3Sc. The powder XRD pattern is theoretical, not measured: it uses the GGA-PBE geometry in Alexandria and copper Kα.
Neutral-atom scattering factors, no anomalous dispersion.

Cell and atoms:
```
data_Hf3Zr3Sc
_chemical_formula_sum 'Hf6 Zr6 Sc2'
_cell_length_a 8.5443
_cell_length_b 8.5443
_cell_length_c 5.0831
_cell_angle_alpha 90.00
_cell_angle_beta 90.00
_cell_angle_gamma 120.00
_space_group_name_H-M_alt 'P 63/m'
_space_group_IT_number 176
_space_group_name_Hall '-P 6c'
loop_
_atom_site_label
_atom_site_type_symbol
_atom_site_fract_x
_atom_site_fract_y
_atom_site_fract_z
Hf1 Hf 0.0954 0.6156 0.2500
Zr1 Zr 0.0482 0.8066 0.7500
Sc1 Sc 0.3333 0.6667 0.7500
```

Main lines, by intensity (2θ = 10–90°):
| hkl | 2theta | I/Imax |
| --- | --- | --- |
| 1 2 1 | 36.67 | 100 |
| 1 2 0 | 32.00 | 26 |
| 0 0 2 | 35.31 | 25 |
| 4 1 2 | 68.89 | 21 |
| 1 2 3 | 64.28 | 19 |
| 4 1 0 | 57.04 | 19 |
| 1 2 2 | 48.39 | 16 |
| 2 4 1 | 69.75 | 16 |
| 1 0 1 | 21.21 | 13 |
| 2 0 0 | 24.05 | 6 |

***

Diffraction record for HfZr4Sc. The powder XRD pattern is theoretical, not measured: it uses the GGA-PBE geometry in Alexandria and copper Kα.
Neutral-atom scattering factors, no anomalous dispersion.

Cell and atoms:
```
data_HfZr4Sc
_chemical_formula_sum 'Hf2 Zr8 Sc2'
_cell_length_a 5.008
_cell_length_b 6.293
_cell_length_c 8.670
_cell_angle_alpha 90.00
_cell_angle_beta 90.00
_cell_angle_gamma 90.00
_space_group_name_H-M_alt 'I m m m'
_space_group_IT_number 71
_space_group_name_Hall '-I 2 2'
loop_
_atom_site_label
_atom_site_type_symbol
_atom_site_fract_x
_atom_site_fract_y
_atom_site_fract_z
Hf1 Hf 0.000 0.000 0.000
Zr1 Zr 0.000 0.251 0.333
Sc1 Sc 0.000 0.500 0.000
```

Main lines, by intensity (2θ = 10–90°):
| hkl | 2theta | I/Imax |
| --- | --- | --- |
| 2 0 0 | 35.87 | 100 |
| 1 2 1 | 35.24 | 99 |
| 1 2 5 | 64.06 | 34 |
| 2 2 2 | 51.17 | 34 |
| 2 4 0 | 70.73 | 26 |
| 0 1 1 | 17.41 | 19 |
| 3 0 3 | 64.47 | 17 |
| 4 2 2 | 86.67 | 15 |
| 4 0 0 | 76.03 | 11 |
| 1 1 0 | 22.69 | 10 |